Entry 1:
Computed powder diffractogram of Lu4Ta2Co3N3 for Cu Kα, 1.54184 Å, from a GGA-PBE-relaxed structure.
Peak positions follow from Bragg's law for the DFT cell and can differ from measured ones.

Crystal structure
```
data_Lu4Ta2Co3N3
_symmetry_space_group_name_H-M 'C 1 2/c 1'
_symmetry_Int_Tables_number 15
_symmetry_space_group_name_Hall '-C 2yc'
_cell_length_a 9.4995
_cell_length_b 5.5071
_cell_length_c 14.0098
_cell_angle_alpha 90.00
_cell_angle_beta 104.38
_cell_angle_gamma 90.00
loop_
_atom_site_label
_atom_site_type_symbol
_atom_site_fract_x
_atom_site_fract_y
_atom_site_fract_z
Lu1 Lu 0.1197 0.0787 0.0980
Lu2 Lu 0.2126 0.0831 0.4020
Ta1 Ta 0.0459 0.4189 0.9013
Co1 Co 0.0000 0.0814 0.2500
Co2 Co 0.2361 0.3458 0.2478
N1 N 0.0755 0.2729 0.4997
N2 N 0.2500 0.2500 0.0000
```

Main lines, in order of rising 2θ (10 to 80 degrees two-theta):
(hkl)  two_theta  I_rel
0 0 4  26.27  47
3 1 -1  32.63  34
0 2 1  33.19  54
3 1 0  33.44  39
3 1 -4  38.01  100
0 2 3  38.27  87
3 1 2  38.71  87
0 0 6  39.86  49
3 3 -1  58.09  32
6 0 -2  58.24  34

=====

Entry 2:
Computed powder diffractogram of LuNbCo2Sb2 for Cu Kα, 1.54184 Å, from a GGA-PBE-relaxed structure.
Peak positions follow from Bragg's law for the DFT cell and can differ from measured ones.

Crystal structure
```
data_LuNbCo2Sb2
_symmetry_space_group_name_H-M 'P m n 21'
_symmetry_Int_Tables_number 31
_symmetry_space_group_name_Hall 'P 2ac -2'
_cell_length_a 4.2964
_cell_length_b 8.6100
_cell_length_c 6.0888
_cell_angle_alpha 90.00
_cell_angle_beta 90.00
_cell_angle_gamma 90.00
loop_
_atom_site_label
_atom_site_type_symbol
_atom_site_fract_x
_atom_site_fract_y
_atom_site_fract_z
Lu1 Lu 0.0000 0.1242 0.0000
Nb1 Nb 0.0000 0.6234 0.0133
Co1 Co 0.0000 0.3870 0.2700
Co2 Co 0.0000 0.8545 0.2373
Sb1 Sb 0.0000 0.1288 0.4978
Sb2 Sb 0.0000 0.6235 0.5169
```

Main lines, in order of rising 2θ (10 to 80 degrees two-theta):
(hkl)  two_theta  I_rel
0 2 1  25.35  11
1 2 0  29.36  51
2 0 0  42.00  100
1 0 3  49.70  4
0 4 2  52.07  14
2 4 0  60.91  16
1 6 0  69.02  16
3 2 0  69.13  3
2 0 4  76.70  20
3 2 2  76.82  11

=====

Entry 3:
Computed powder diffractogram of LuCo5P3 for Cu Kα, 1.54184 Å, from a GGA-PBE-relaxed structure.
Peak positions follow from Bragg's law for the DFT cell and can differ from measured ones.

Crystal structure
```
data_LuCo5P3
_symmetry_space_group_name_H-M 'P n m a'
_symmetry_Int_Tables_number 62
_symmetry_space_group_name_Hall '-P 2ac 2n'
_cell_length_a 11.6355
_cell_length_b 3.6078
_cell_length_c 10.2012
_cell_angle_alpha 90.00
_cell_angle_beta 90.00
_cell_angle_gamma 90.00
loop_
_atom_site_label
_atom_site_type_symbol
_atom_site_fract_x
_atom_site_fract_y
_atom_site_fract_z
Lu1 Lu 0.2031 0.2500 0.0826
Co1 Co 0.0092 0.7500 0.7168
Co2 Co 0.0135 0.7500 0.0927
Co3 Co 0.0688 0.7500 0.4672
Co4 Co 0.1768 0.2500 0.7789
Co5 Co 0.1990 0.2500 0.3830
P1 P 0.1096 0.7500 0.8997
P2 P 0.1129 0.2500 0.5819
P3 P 0.1300 0.7500 0.2686
```

Main lines, in order of rising 2θ (10 to 80 degrees two-theta):
(hkl)  two_theta  I_rel
1 1 1  27.32  22
2 0 3  30.45  16
1 0 4  36.05  15
3 1 2  38.37  20
2 1 3  39.58  100
4 1 0  39.79  70
4 0 3  40.82  26
0 2 0  50.60  33
6 0 3  54.47  24
6 2 3  77.53  16